[1]
AlZnCu2Se4: computed X-ray powder pattern (Cu Kα), based on a structure optimized by DFT (PBE).
Intensities are scaled so that the largest is 100.

a b c (Å): 5.582 5.582 11.443
angles (deg): 90.00 90.00 90.00
Space group I-42m (No. 121)
Unique sites:
Al 0.000 0.000 0.000 x2
Zn 0.000 0.000 0.500 x2
Cu 0.000 0.500 0.250 x4
Se 0.246 0.246 0.128 x8

Main lines, low angle first (2θ = 5–70°):
(hkl)  2θ/deg  I (rel.)
1 0 1  17.68  3
1 1 2  27.45  100
1 0 3  28.34  1
2 1 1  36.85  2
2 0 4  45.40  48
2 2 0  45.99  23
1 1 6  53.35  15
3 1 2  54.39  29
0 0 8  65.23  4
4 0 0  67.07  7

[2]
Sm4Cd2InAg: computed X-ray powder pattern (Cu Kα), based on a structure optimized by DFT (PBE).
Intensities are scaled so that the largest is 100.

a b c (Å): 5.3578 5.3578 26.3508
angles (deg): 90.00 90.00 120.00
Space group R-3m (No. 166, hexagonal axes)
Unique sites:
Sm 0.0000 0.0000 0.1226 x6
Sm 0.0000 0.0000 0.3729 x6
Cd 0.0000 0.0000 0.2480 x6
In 0.0000 0.0000 0.5000 x3
Ag 0.0000 0.0000 0.0000 x3

Main lines, low angle first (2θ = 5–70°):
(hkl)  2θ/deg  I (rel.)
1 0 4  23.45  2
1 1 0  33.40  100
2 0 8  47.96  18
2 1 4  54.12  1
1 0 16  59.57  9
3 0 0  59.76  27

[3]
LiPrSm2Tl4: computed X-ray powder pattern (Cu Kα), based on a structure optimized by DFT (PBE).
Intensities are scaled so that the largest is 100.

a b c (Å): 5.3351 5.3351 27.2124
angles (deg): 90.00 90.00 120.00
Space group R-3m (No. 166, hexagonal axes)
Unique sites:
Li 0.0000 0.0000 0.0000 x3
Pr 0.0000 0.0000 0.5000 x3
Sm 0.0000 0.0000 0.2560 x6
Tl 0.0000 0.0000 0.1222 x6
Tl 0.0000 0.0000 0.3727 x6

Main lines, low angle first (2θ = 5–70°):
(hkl)  2θ/deg  I (rel.)
0 0 6  19.51  7
1 0 4  23.27  19
0 1 5  25.29  7
0 1 8  32.69  100
1 1 0  33.60  96
2 0 8  47.58  36
1 0 16  57.76  18
1 2 8  59.51  39
3 0 0  60.07  18
0 2 16  68.51  11

[4]
Er4ScS5: computed X-ray powder pattern (Cu Kα), based on a structure optimized by DFT (PBE).
Intensities are scaled so that the largest is 100.

a b c (Å): 3.834 3.834 27.126
angles (deg): 90.00 90.00 90.00
Space group I4/mmm (No. 139)
Unique sites:
Er 0.000 0.000 0.099 x4
Er 0.000 0.000 0.300 x4
Sc 0.000 0.000 0.500 x2
S 0.000 0.000 0.000 x2
S 0.000 0.000 0.199 x4
S 0.000 0.000 0.402 x4

Main lines, low angle first (2θ = 5–70°):
(hkl)  2θ/deg  I (rel.)
0 0 2  6.52  20
0 0 4  13.05  5
1 0 1  23.43  6
1 0 3  25.23  5
1 0 5  28.51  73
1 1 0  33.03  100
2 0 0  47.41  71
2 1 5  56.26  35
2 0 10  59.00  24
2 2 0  69.30  11

[5]
K2Mg12Sn7: computed X-ray powder pattern (Cu Kα), based on a structure optimized by DFT (PBE).
Intensities are scaled so that the largest is 100.

a b c (Å): 11.9145 11.9145 4.5586
angles (deg): 90.00 90.00 120.00
Space group P-3 (No. 147)
Unique sites:
K 0.3333 0.6667 0.2552 x2
Mg 0.0572 0.4331 0.7495 x6
Mg 0.1156 0.2607 0.2518 x6
Sn 0.0000 0.0000 0.5000 x1
Sn 0.1150 0.7046 0.7536 x6

Main lines, low angle first (2θ = 5–70°):
(hkl)  2θ/deg  I (rel.)
0 1 1  21.31  30
2 1 0  22.80  100
1 1 1  24.59  49
0 2 1  26.09  38
3 -1 1  30.16  65
4 -1 1  37.09  44
1 4 0  40.04  49
0 4 1  40.17  32
3 2 1  43.06  37
3 -2 2  46.13  22

[6]
TbAl3Ge3: computed X-ray powder pattern (Cu Kα), based on a structure optimized by DFT (PBE).
Intensities are scaled so that the largest is 100.

a b c (Å): 10.0654 10.0654 4.0447
angles (deg): 90.00 90.00 120.00
Space group P6_3/m (No. 176)
Unique sites:
Tb 0.3333 0.6667 0.2500 x2
Al 0.0517 0.6380 0.7500 x6
Ge 0.1116 0.4128 0.7500 x6

Main lines, low angle first (2θ = 5–70°):
(hkl)  2θ/deg  I (rel.)
1 0 0  10.15  100
2 1 0  27.06  16
2 0 1  30.14  62
3 0 0  30.77  25
2 1 1  35.13  60
1 3 1  43.62  11
0 0 2  44.82  12
4 1 0  47.82  22
2 3 1  50.94  24
4 1 2  67.61  15

[7]
In5Bi2Te: computed X-ray powder pattern (Cu Kα), based on a structure optimized by DFT (PBE).
Intensities are scaled so that the largest is 100.

a b c (Å): 6.714 6.757 7.010
angles (deg): 104.28 103.93 119.46
Space group P1 (No. 1)
Unique sites:
In 0.000 0.000 0.000 x1
In 0.009 0.545 0.003 x1
In 0.387 0.862 0.497 x1
In 0.461 0.498 0.000 x1
In 0.891 0.366 0.508 x1
Bi 0.369 0.349 0.506 x1
Bi 0.865 0.842 0.494 x1
Te 0.580 0.076 0.002 x1

Main lines, low angle first (2θ = 5–70°):
(hkl)  2θ/deg  I (rel.)
0 0 2  29.11  100
0 2 -1  30.39  68
2 0 -1  30.58  46
2 -2 0  30.74  80
0 2 -2  33.79  28
2 0 -2  33.97  53
0 2 -3  42.58  54
2 0 1  42.73  37
2 -2 2  42.84  64
2 -4 3  62.80  20

[8]
PmF3: computed X-ray powder pattern (Cu Kα), based on a structure optimized by DFT (PBE).
Intensities are scaled so that the largest is 100.

a b c (Å): 7.0272 7.0272 7.2103
angles (deg): 90.00 90.00 120.00
Space group P-3c1 (No. 165)
Unique sites:
Pm 0.0000 0.3449 0.2500 x6
F 0.0000 0.0000 0.2500 x2
F 0.0658 0.3734 0.5797 x12
F 0.3333 0.6667 0.3175 x4

Main lines, low angle first (2θ = 5–70°):
(hkl)  2θ/deg  I (rel.)
0 0 2  24.69  37
1 1 0  25.35  26
1 1 1  28.25  100
1 1 2  35.68  10
3 0 0  44.67  41
1 1 3  45.74  52
0 3 2  51.71  32
2 2 1  53.70  19
2 2 3  65.85  14
3 0 4  69.80  12

[9]
Rb2NbSBr5: computed X-ray powder pattern (Cu Kα), based on a structure optimized by DFT (PBE).
Intensities are scaled so that the largest is 100.

a b c (Å): 7.527 7.527 11.050
angles (deg): 90.00 90.00 90.00
Space group I4mm (No. 107)
Unique sites:
Rb 0.000 0.500 0.000 x4
Nb 0.000 0.000 0.275 x2
S 0.000 0.000 0.474 x2
Br 0.000 0.000 0.019 x2
Br 0.242 0.242 0.249 x8

Main lines, low angle first (2θ = 5–70°):
(hkl)  2θ/deg  I (rel.)
1 0 1  14.24  34
1 1 2  23.20  15
2 0 2  28.70  100
0 0 4  32.41  31
2 2 0  33.68  60
2 2 4  47.44  41
4 0 0  48.37  21
2 0 6  55.55  15
4 2 2  57.22  26
4 0 4  59.43  20

[10]
YSc3Rh2: computed X-ray powder pattern (Cu Kα), based on a structure optimized by DFT (PBE).
Intensities are scaled so that the largest is 100.

a b c (Å): 4.322 8.458 6.929
angles (deg): 90.00 90.00 90.00
Space group Pmc2_1 (No. 26)
Unique sites:
Y 0.000 0.077 0.000 x2
Sc 0.000 0.333 0.630 x2
Sc 0.500 0.189 0.345 x2
Sc 0.500 0.420 0.970 x2
Rh 0.000 0.354 0.235 x2
Rh 0.500 0.157 0.731 x2

Main lines, low angle first (2θ = 5–70°):
(hkl)  2θ/deg  I (rel.)
0 2 1  24.66  38
1 1 1  26.49  46
1 2 1  32.31  50
0 2 2  33.43  22
1 1 2  34.84  100
1 3 0  38.11  57
2 0 0  41.80  46
0 2 3  44.70  27
1 1 3  45.82  27
1 3 2  46.54  30

[11]
PmInSb3: computed X-ray powder pattern (Cu Kα), based on a structure optimized by DFT (PBE).
Intensities are scaled so that the largest is 100.

a b c (Å): 14.925 6.199 6.359
angles (deg): 90.00 90.00 90.00
Space group Pbcm (No. 57)
Unique sites:
Pm 0.167 0.007 0.250 x4
In 0.396 0.750 0.000 x4
Sb 0.003 0.750 0.000 x4
Sb 0.221 0.001 0.750 x4
Sb 0.384 0.240 0.250 x4

Main lines, low angle first (2θ = 5–70°):
(hkl)  2θ/deg  I (rel.)
5 0 0  29.93  95
2 0 2  30.56  71
2 2 0  31.25  82
1 1 2  32.20  30
3 0 2  33.45  50
2 1 2  33.89  52
3 2 0  34.08  100
5 1 1  36.27  36
3 1 2  36.54  38
0 2 2  40.65  46

[12]
Rb2FeP2S6: computed X-ray powder pattern (Cu Kα), based on a structure optimized by DFT (PBE).
Intensities are scaled so that the largest is 100.

a b c (Å): 6.7928 6.7928 19.4487
angles (deg): 90.00 90.00 120.00
Space group R-3m (No. 166, hexagonal axes)
Unique sites:
Rb 0.0000 0.0000 0.2402 x6
Fe 0.0000 0.0000 0.0000 x3
P 0.0000 0.0000 0.4386 x6
S 0.0085 0.5043 0.7521 x18

Main lines, low angle first (2θ = 5–70°):
(hkl)  2θ/deg  I (rel.)
1 0 4  23.74  41
1 1 0  26.24  65
0 0 6  27.51  61
2 0 2  31.78  54
0 2 4  35.68  100
2 0 8  48.59  26
1 1 9  50.03  16
2 2 0  54.00  36
0 0 12  56.76  20
2 2 6  61.66  26

[13]
ZrTaW2: computed X-ray powder pattern (Cu Kα), based on a structure optimized by DFT (PBE).
Intensities are scaled so that the largest is 100.

a b c (Å): 2.876 4.618 5.480
angles (deg): 90.00 100.65 90.00
Space group Pm (No. 6)
Unique sites:
Zr 0.000 0.000 0.000 x1
Ta 0.725 0.500 0.259 x1
W 0.252 0.500 0.741 x1
W 0.482 0.000 0.507 x1

Main lines, low angle first (2θ = 5–70°):
(hkl)  2θ/deg  I (rel.)
0 0 1  16.46  8
1 1 -1  38.43  67
1 0 1  38.67  100
0 2 0  39.01  33
1 0 -3  55.32  11
1 2 1  56.05  23
2 0 -2  69.12  6
2 1 0  69.56  12
1 2 -3  69.75  11
0 0 4  69.85  6